(1)
Simulated powder diffraction line list of DyYBePd for CuKα, from a GGA-PBE-relaxed structure.
Neutral-atom scattering factors, no anomalous dispersion.

Principal peaks in the range 15 to 90 degrees two-theta, by intensity:
Position (°2θ), intensity
36.5, 100
65.7, 35
22.1, 27
25.6, 17
52.6, 17
88.9, 16
43.1, 15
77.6, 11
59.4, 7
57.7, 6

Cell and atoms:
```
DyYBePd
1.0
0.000 3.481 3.481
3.481 0.000 3.481
3.481 3.481 0.000
Dy Y Be Pd
1 1 1 1
Direct
0.000 0.000 0.000
0.500 0.500 0.500
0.250 0.250 0.250
0.750 0.750 0.750
```

(2)
Simulated powder diffraction line list of AcNd14Dy for CuKα, from a GGA-PBE-relaxed structure.
Neutral-atom scattering factors, no anomalous dispersion.

Principal peaks in the range 15 to 90 degrees two-theta, by intensity:
Position (°2θ), intensity
31.5, 100
29.8, 26
27.7, 23
58.4, 23
54.0, 22
49.0, 20
59.5, 16
41.1, 16
80.5, 9
82.7, 9

Cell and atoms:
```
AcNd14Dy
1.0
11.987 0.000 0.000
0.000 3.715 6.444
0.000 -3.715 6.444
Ac Nd Dy
1 14 1
Direct
0.000 0.000 0.000
0.000 0.503 0.999
0.000 0.999 0.503
0.248 0.334 0.334
0.251 0.336 0.833
0.251 0.833 0.336
0.254 0.833 0.833
0.500 0.001 0.001
0.500 0.001 0.500
0.500 0.500 0.001
0.500 0.500 0.500
0.746 0.833 0.833
0.749 0.336 0.833
0.749 0.833 0.336
0.752 0.334 0.334
0.000 0.502 0.502
```